(1)
For CaLaCuIr, DFT lattice parameters and positions (PBE) gives the theoretical powder XRD pattern in this record (Cu Kα, 1.54184 Å).

Largest 10 diffraction maxima, low angle first, 10° ≤ 2θ ≤ 80°:
d = 5.177 Å, 17.1°, I 38, hkl 0 0 1; d = 4.080 Å, 21.8°, I 74, hkl 1 0 0; d = 3.204 Å, 27.8°, I 85, hkl 1 0 1; d = 2.355 Å, 38.2°, I 96, hkl 1 1 0; d = 2.186 Å, 41.3°, I 100, hkl 1 0 2; d = 2.144 Å, 42.1°, I 25, hkl 1 1 1; d = 1.898 Å, 47.9°, I 19, hkl 0 2 1; d = 1.602 Å, 57.5°, I 37, hkl 0 2 2; d = 1.478 Å, 62.9°, I 17, hkl 2 1 1; d = 1.325 Å, 71.2°, I 39, hkl 2 1 2

Structural model:
Lattice parameters (Å, degrees): 4.7107 4.7107 5.1768 90.00 90.00 120.00
Space group P3m1 (No. 156)
Unique sites:
Ca 0.0000 0.0000 0.0000
La 0.3333 0.6667 0.4580
Cu 0.6667 0.3333 0.7543
Ir 0.6667 0.3333 0.2499


(2)
For Zr6Tl3H, DFT lattice parameters and positions (PBE) gives the theoretical powder XRD pattern in this record (Cu Kα, 1.54184 Å).

Largest 10 diffraction maxima, low angle first, 10° ≤ 2θ ≤ 80°:
d = 3.909 Å, 22.7°, I 10, hkl 0 2 1; d = 2.595 Å, 34.6°, I 100, hkl 3 3 1; d = 2.457 Å, 36.6°, I 20, hkl 0 6 0; d = 2.306 Å, 39.1°, I 18, hkl 0 0 2; d = 2.040 Å, 44.4°, I 13, hkl 6 0 0; d = 1.681 Å, 54.6°, I 13, hkl 0 6 2; d = 1.443 Å, 64.6°, I 14, hkl 3 9 1; d = 1.380 Å, 67.9°, I 14, hkl 3 3 3; d = 1.297 Å, 72.9°, I 11, hkl 6 6 2; d = 1.261 Å, 75.4°, I 10, hkl 9 3 1

Structural model:
Lattice parameters (Å, degrees): 12.2375 14.7396 4.6112 90.00 90.00 90.00
Space group Cmcm (No. 63)
Unique sites:
Zr 0.0000 0.0773 0.2500
Zr 0.0000 0.2516 0.7500
Zr 0.1668 0.4202 0.7500
Zr 0.1686 0.2502 0.2500
Tl 0.0000 0.4090 0.2500
Tl 0.1658 0.0932 0.7500
H 0.0000 0.2163 0.2500


(3)
For ErAl2Au4, DFT lattice parameters and positions (PBE) gives the theoretical powder XRD pattern in this record (Cu Kα, 1.54184 Å).

Largest 10 diffraction maxima, low angle first, 10° ≤ 2θ ≤ 80°:
d = 3.143 Å, 28.4°, I 24, hkl 3 1 1; d = 3.113 Å, 28.7°, I 29, hkl 4 1 0; d = 2.688 Å, 33.3°, I 28, hkl 1 1 2; d = 2.595 Å, 34.6°, I 100, hkl 2 1 2; d = 2.546 Å, 35.3°, I 76, hkl 5 1 1; d = 2.429 Å, 37.0°, I 38, hkl 6 1 0; d = 2.334 Å, 38.6°, I 22, hkl 7 0 1; d = 2.232 Å, 40.4°, I 57, hkl 0 2 0; d = 2.126 Å, 42.5°, I 21, hkl 3 0 3; d = 1.539 Å, 60.1°, I 22, hkl 3 2 3

Structural model:
Lattice parameters (Å, degrees): 17.3711 4.4644 6.8578 90.00 90.00 90.00
Space group Pnma (No. 62)
Unique sites:
Er 0.1420 0.2500 0.0248
Al 0.0360 0.7500 0.2598
Al 0.2159 0.2500 0.5401
Au 0.0341 0.7500 0.8722
Au 0.0707 0.2500 0.4733
Au 0.1846 0.7500 0.3226
Au 0.1921 0.7500 0.7478


(4)
For Sc7GeI12, DFT lattice parameters and positions (PBE) gives the theoretical powder XRD pattern in this record (Cu Kα, 1.54184 Å).

Largest 10 diffraction maxima, low angle first, 10° ≤ 2θ ≤ 80°:
d = 4.920 Å, 18.0°, I 11, hkl 3 -1 1; d = 3.784 Å, 23.5°, I 100, hkl 1 3 1; d = 3.716 Å, 23.9°, I 25, hkl 0 0 3; d = 3.262 Å, 27.3°, I 49, hkl 4 -1 2; d = 2.410 Å, 37.3°, I 10, hkl 1 4 3; d = 2.323 Å, 38.8°, I 33, hkl 5 2 0; d = 2.291 Å, 39.3°, I 30, hkl 1 3 4; d = 1.980 Å, 45.8°, I 12, hkl 8 -2 1; d = 1.970 Å, 46.1°, I 20, hkl 7 -5 3; d = 1.950 Å, 46.6°, I 13, hkl 4 -1 5

Structural model:
Lattice parameters (Å, degrees): 16.7488 16.7488 11.1494 90.00 90.00 120.00
Space group R-3 (No. 148, hexagonal axes)
Unique sites:
Sc 0.0000 0.0000 0.0000
Sc 0.0502 0.8927 0.6070
Ge 0.0000 0.0000 0.5000
I 0.0503 0.4452 0.1660
I 0.0561 0.8849 0.8609


(5)
For InNi, DFT lattice parameters and positions (PBE) gives the theoretical powder XRD pattern in this record (Cu Kα, 1.54184 Å).

Largest 10 diffraction maxima, low angle first, 10° ≤ 2θ ≤ 80°:
d = 3.232 Å, 27.6°, I 37, hkl 0 3 1; d = 2.835 Å, 31.6°, I 37, hkl 0 4 0; d = 2.732 Å, 32.8°, I 67, hkl 0 2 2; d = 2.620 Å, 34.2°, I 74, hkl 1 2 0; d = 2.599 Å, 34.5°, I 45, hkl 1 1 1; d = 2.144 Å, 42.1°, I 100, hkl 1 0 2; d = 2.098 Å, 43.1°, I 57, hkl 0 4 2; d = 2.045 Å, 44.3°, I 57, hkl 1 4 0; d = 1.729 Å, 53.0°, I 44, hkl 1 5 1; d = 1.240 Å, 76.9°, I 33, hkl 1 4 4

Structural model:
Lattice parameters (Å, degrees): 2.9543 11.3402 6.2354 90.00 90.00 90.00
Space group Amm2 (No. 38)
Unique sites:
In 0.0000 0.0000 0.0000
In 0.5000 0.2332 0.3331
Ni 0.0000 0.1108 0.6172
Ni 0.5000 0.0000 0.3610


(6)
For LiYPu, DFT lattice parameters and positions (PBE) gives the theoretical powder XRD pattern in this record (Cu Kα, 1.54184 Å).

Largest 10 diffraction maxima, low angle first, 10° ≤ 2θ ≤ 80°:
d = 3.198 Å, 27.9°, I 43, hkl 0 0 5; d = 2.992 Å, 29.9°, I 54, hkl 1 1 0; d = 2.864 Å, 31.2°, I 32, hkl 1 0 -2; d = 2.746 Å, 32.6°, I 100, hkl 0 1 3; d = 2.689 Å, 33.3°, I 41, hkl 0 1 -2; d = 2.677 Å, 33.5°, I 82, hkl 1 1 3; d = 2.665 Å, 33.6°, I 57, hkl 0 0 6; d = 2.544 Å, 35.3°, I 57, hkl 1 1 -3; d = 2.467 Å, 36.4°, I 43, hkl 1 0 -4; d = 1.729 Å, 53.0°, I 33, hkl 2 1 0

Structural model:
Lattice parameters (Å, degrees): 3.4575 3.4595 16.1062 84.05 90.00 60.16
Space group P-1 (No. 2)
Unique sites:
Li 0.1429 0.2146 0.4293
Y 0.4195 0.6637 0.2590
Pu 0.3058 0.8864 0.9169